Theoretical powder diffractogram of CaPr6Y4 for Cu Kα, from a structure optimized by DFT (PBE).
No peak broadening, texture or thermal motion is included.

Top 8 peaks for 10° ≤ 2θ ≤ 90°, sorted by position:
2θ/deg  d (Å)  I_rel  hkl
10.78  8.210  433  1 0 0
27.29  3.268  1000  2 0 1
28.77  3.103  296  2 1 0
33.19  2.700  344  0 0 2
33.30  2.690  859  2 1 1
37.96  2.370  198  2 2 0
51.33  1.780  268  2 2 2
58.77  1.571  248  5 0 1

Structure:
```
CaPr6Y4
1.0
9.4805 0.0000 0.0000
-4.7403 8.2104 0.0000
0.0000 0.0000 5.3991
Ca Pr Y
1 6 4
Direct
0.0000 0.0000 0.0000
0.2024 0.4048 0.5000
0.2024 0.7976 0.5000
0.5325 0.0649 0.0000
0.5325 0.4675 0.0000
0.5952 0.7976 0.5000
0.9351 0.4675 0.0000
0.3333 0.6667 0.0000
0.4182 0.2091 0.5000
0.7909 0.2091 0.5000
0.7909 0.5818 0.5000
```